UAl3: computed X-ray powder pattern (Cu Kα, 1.54184 Å), based on a DFT-relaxed cell (PBE, the Materials Project).

Structural model:
```
UAl3
1.0
4.2596 0.0000 0.0000
0.0000 4.2596 0.0000
0.0000 0.0000 4.2596
U Al
1 3
Cartesian
0.0000 0.0000 0.0000 U
0.0000 2.1298 2.1298 Al
2.1298 0.0000 2.1298 Al
2.1298 2.1298 0.0000 Al
```

Largest 8 diffraction maxima, by angle, 2θ from 15° to 90°:
- 2θ 20.85, d 4.260, rel. 100
- 2θ 29.66, d 3.012, rel. 87
- 2θ 36.54, d 2.459, rel. 81
- 2θ 42.44, d 2.130, rel. 40
- 2θ 47.74, d 1.905, rel. 49
- 2θ 52.63, d 1.739, rel. 37
- 2θ 61.58, d 1.506, rel. 27
- 2θ 73.78, d 1.284, rel. 33



CeH14Cl3O7: computed X-ray powder pattern (Cu Kα, 1.54184 Å), based on a DFT-relaxed cell (PBE, the Materials Project).

Structural model:
```
CeH14Cl3O7
1.0
8.0165 0.0000 0.0000
1.0934 8.1656 0.0000
2.5989 2.9564 8.6917
Ce H Cl O
2 28 6 14
Cartesian
0.0000 0.0000 0.0000 Ce
5.5425 4.9688 5.6554 Ce
0.8453 5.0278 0.3309 H
1.3986 2.3171 1.7236 H
2.5369 3.0471 5.5422 H
2.3923 6.1493 1.9303 H
3.2310 6.9774 4.7411 H
3.0972 4.0243 3.6940 H
2.3767 1.0769 1.9786 H
3.5129 6.1686 0.8217 H
4.4507 7.2590 3.7880 H
2.9027 1.9629 0.1059 H
3.9908 2.7192 3.9105 H
5.9428 8.1681 5.5876 H
6.7067 5.9168 8.4840 H
6.6653 7.7388 6.9244 H
5.8797 5.2783 2.4373 H
7.3961 3.0514 8.5008 H
5.9182 1.5702 1.7089 H
8.8304 9.6634 8.5303 H
7.0284 2.0480 5.0210 H
6.3297 2.7606 0.7377 H
7.3101 5.0112 3.0475 H
7.6189 7.0797 2.6513 H
7.5451 3.0939 3.9733 H
8.5561 6.1133 5.8356 H
8.7050 4.5214 5.9197 H
8.8323 7.8979 3.2511 H
10.4835 10.1621 5.8773 H
10.9105 8.1159 7.5490 H
3.1100 5.4736 7.2201 Cl
4.9827 2.4701 7.0659 Cl
5.3400 9.0437 3.0622 Cl
5.1740 4.7621 0.3597 Cl
9.5217 8.3055 5.2716 Cl
9.1659 4.1924 2.5416 Cl
3.2845 8.6267 8.2922 O
1.6900 1.4359 1.3478 O
2.8113 6.7230 1.2502 O
4.0210 6.5366 4.3271 O
3.7448 3.6059 4.3185 O
6.2435 5.1013 8.1538 O
6.1381 7.3976 6.1628 O
6.4448 5.4808 3.2298 O
6.8307 2.9340 4.6322 O
9.2264 10.5688 8.5431 O
8.0595 5.2627 5.8071 O
6.6088 1.8720 1.0623 O
8.4346 7.5673 2.4001 O
9.8143 2.8459 6.1848 O
```

Largest 8 diffraction maxima, by angle, 2θ from 15° to 90°:
- 2θ 16.59, d 5.343, rel. 90
- 2θ 19.96, d 4.448, rel. 58
- 2θ 20.12, d 4.413, rel. 100
- 2θ 22.17, d 4.009, rel. 51
- 2θ 23.06, d 3.857, rel. 79
- 2θ 30.84, d 2.899, rel. 51
- 2θ 40.15, d 2.246, rel. 50
- 2θ 40.50, d 2.227, rel. 50



NiSe: computed X-ray powder pattern (Cu Kα, 1.54184 Å), based on a DFT-relaxed cell (PBE, the Materials Project).

Structural model:
```
NiSe
1.0
5.0007 2.8871 1.1117
-5.0007 2.8871 1.1117
0.0000 -5.7743 1.1117
Ni Se
3 3
Cartesian
-3.7208 -2.1482 2.2233 Ni
3.7208 -2.1482 2.2233 Ni
0.0000 4.2964 2.2233 Ni
-1.6992 -0.9810 1.7282 Se
1.6992 -0.9810 1.7282 Se
0.0000 1.9620 1.7282 Se
```

Largest 8 diffraction maxima, by angle, 2θ from 15° to 90°:
- 2θ 30.97, d 2.887, rel. 99
- 2θ 33.93, d 2.642, rel. 83
- 2θ 38.54, d 2.336, rel. 75
- 2θ 46.59, d 1.949, rel. 100
- 2θ 50.24, d 1.816, rel. 37
- 2θ 53.69, d 1.707, rel. 36
- 2θ 55.10, d 1.667, rel. 46
- 2θ 56.17, d 1.637, rel. 33



CeEr3: computed X-ray powder pattern (Cu Kα, 1.54184 Å), based on a DFT-relaxed cell (PBE, the Materials Project).

Structural model:
```
CeEr3
1.0
4.9604 0.0000 0.0000
0.0000 4.9604 0.0000
0.0000 0.0000 4.9604
Ce Er
1 3
Cartesian
0.0000 0.0000 0.0000 Ce
0.0000 2.4802 2.4802 Er
2.4802 0.0000 2.4802 Er
2.4802 2.4802 0.0000 Er
```

Largest 8 diffraction maxima, by angle, 2θ from 15° to 90°:
- 2θ 31.23, d 2.864, rel. 100
- 2θ 36.22, d 2.480, rel. 51
- 2θ 52.15, d 1.754, rel. 36
- 2θ 62.06, d 1.496, rel. 42
- 2θ 65.15, d 1.432, rel. 12
- 2θ 76.88, d 1.240, rel. 6
- 2θ 85.29, d 1.138, rel. 18
- 2θ 88.06, d 1.109, rel. 17



RhN2: computed X-ray powder pattern (Cu Kα, 1.54184 Å), based on a DFT-relaxed cell (PBE, the Materials Project).

Structural model:
```
RhN2
1.0
4.9352 0.0000 0.0000
0.0000 4.9131 0.0000
-1.6174 0.0000 4.6895
Rh N
4 8
Cartesian
0.8114 0.0080 1.0801 Rh
0.0027 2.4486 3.4249 Rh
3.3151 2.4645 1.2647 Rh
2.5064 4.9052 3.6094 Rh
-0.3550 0.4209 3.7521 N
0.4537 2.0357 1.4073 N
1.2700 2.8713 0.8206 N
0.4613 4.4984 3.1653 N
2.8565 0.4147 1.5242 N
2.0478 2.0419 3.8690 N
2.8641 2.8774 3.2822 N
3.6728 4.4923 0.9375 N
```

Largest 8 diffraction maxima, by angle, 2θ from 15° to 90°:
- 2θ 28.65, d 3.115, rel. 100
- 2θ 36.23, d 2.480, rel. 45
- 2θ 36.58, d 2.457, rel. 47
- 2θ 38.39, d 2.345, rel. 42
- 2θ 38.60, d 2.333, rel. 44
- 2θ 54.07, d 1.696, rel. 26
- 2θ 54.23, d 1.692, rel. 27
- 2θ 59.28, d 1.559, rel. 35



HoTmCd2: computed X-ray powder pattern (Cu Kα, 1.54184 Å), based on a DFT-relaxed cell (PBE, the Materials Project).

Structural model:
```
HoTmCd2
1.0
7.4431 0.0000 0.0000
0.0000 7.4431 0.0000
0.0000 0.0000 7.4431
Ho Tm Cd
4 4 8
Cartesian
0.0000 0.0000 0.0000 Ho
0.0000 3.7216 3.7216 Ho
3.7216 0.0000 3.7216 Ho
3.7216 3.7216 0.0000 Ho
0.0000 0.0000 3.7216 Tm
0.0000 3.7216 0.0000 Tm
3.7216 0.0000 0.0000 Tm
3.7216 3.7216 3.7216 Tm
1.8608 1.8608 1.8608 Cd
1.8608 1.8608 5.5823 Cd
1.8608 5.5823 1.8608 Cd
1.8608 5.5823 5.5823 Cd
5.5823 1.8608 1.8608 Cd
5.5823 1.8608 5.5823 Cd
5.5823 5.5823 1.8608 Cd
5.5823 5.5823 5.5823 Cd
```

Largest 8 diffraction maxima, by angle, 2θ from 15° to 90°:
- 2θ 23.91, d 3.722, rel. 4
- 2θ 34.07, d 2.632, rel. 100
- 2θ 42.05, d 2.149, rel. 1
- 2θ 48.95, d 1.861, rel. 18
- 2θ 55.19, d 1.664, rel. 2
- 2θ 60.98, d 1.519, rel. 37
- 2θ 71.73, d 1.316, rel. 11
- 2θ 81.85, d 1.177, rel. 16



Mg3Ag: computed X-ray powder pattern (Cu Kα, 1.54184 Å), based on a DFT-relaxed cell (PBE, the Materials Project).

Structural model:
```
Mg3Ag
1.0
6.1675 0.0000 0.0000
-3.0838 5.3412 0.0000
0.0000 0.0000 4.9162
Mg Ag
6 2
Cartesian
0.0000 1.8208 1.2291 Mg
-1.5069 4.4308 1.2291 Mg
1.5769 0.9104 3.6872 Mg
1.5069 4.4308 1.2291 Mg
4.5906 0.9104 3.6872 Mg
3.0838 3.5204 3.6872 Mg
0.0000 3.5608 3.6872 Ag
3.0838 1.7804 1.2291 Ag
```

Largest 8 diffraction maxima, by angle, 2θ from 15° to 90°:
- 2θ 16.60, d 5.341, rel. 31
- 2θ 24.61, d 3.617, rel. 65
- 2θ 28.95, d 3.084, rel. 30
- 2θ 33.56, d 2.671, rel. 24
- 2θ 36.56, d 2.458, rel. 26
- 2θ 38.36, d 2.347, rel. 100
- 2θ 48.76, d 1.867, rel. 22
- 2θ 72.34, d 1.306, rel. 19



Fe2S3: computed X-ray powder pattern (Cu Kα, 1.54184 Å), based on a DFT-relaxed cell (PBE, the Materials Project).

Structural model:
```
Fe2S3
1.0
2.8676 1.6556 4.9420
-2.8676 1.6556 4.9420
0.0000 -3.3113 4.9420
Fe S
4 6
Cartesian
0.0000 0.0000 2.2858 Fe
0.0000 0.0000 5.1272 Fe
0.0000 0.0000 9.6988 Fe
0.0000 0.0000 12.5403 Fe
-1.9574 -0.0791 6.1775 S
-0.9102 -1.7347 8.6485 S
1.0472 -1.6556 6.1775 S
-1.0472 1.6556 8.6485 S
0.9102 1.7347 6.1775 S
1.9574 0.0791 8.6485 S
```

Largest 8 diffraction maxima, by angle, 2θ from 15° to 90°:
- 2θ 21.54, d 4.126, rel. 49
- 2θ 30.08, d 2.971, rel. 59
- 2θ 31.19, d 2.868, rel. 38
- 2θ 36.22, d 2.480, rel. 75
- 2θ 43.88, d 2.063, rel. 29
- 2θ 48.64, d 1.872, rel. 100
- 2θ 54.82, d 1.675, rel. 24
- 2θ 55.50, d 1.656, rel. 62



NdLuS3: computed X-ray powder pattern (Cu Kα, 1.54184 Å), based on a DFT-relaxed cell (PBE, the Materials Project).

Structural model:
```
NdLuS3
1.0
1.8949 -6.3775 0.0000
1.8949 6.3775 0.0000
0.0000 0.0000 9.8664
Nd Lu S
2 2 6
Cartesian
0.0000 0.0000 0.0000 Nd
0.0000 0.0000 4.9332 Nd
1.8949 3.2440 7.3998 Lu
1.8949 -3.2440 2.4666 Lu
1.8949 5.0040 2.4666 S
1.8949 1.9026 0.8017 S
1.8949 1.9026 4.1315 S
1.8949 -1.9026 5.7349 S
1.8949 -1.9026 9.0647 S
1.8949 -5.0040 7.3998 S
```

Largest 8 diffraction maxima, by angle, 2θ from 15° to 90°:
- 2θ 22.79, d 3.902, rel. 100
- 2θ 26.14, d 3.409, rel. 24
- 2θ 32.94, d 2.719, rel. 40
- 2θ 36.62, d 2.454, rel. 28
- 2θ 36.87, d 2.438, rel. 27
- 2θ 46.53, d 1.952, rel. 38
- 2θ 53.78, d 1.705, rel. 20
- 2θ 69.09, d 1.360, rel. 24